Structure and computed powder diffractogram of SbH5O2F6 (the PBE geometry in the Materials Project; Cu Kα (λ = 1.5418 Å)).
Peak positions follow from Bragg's law for the DFT cell and can differ from measured ones.

Cell lengths 6.7761, 7.6309, 8.2579 Å; angles 116.84, 93.52, 112.46 degrees
Space group P1 (No. 1)
One atom of each set of equivalent atoms:
Sb 0.0000 0.0000 0.0000 (multiplicity 1)
Sb 0.4151 0.8848 0.4858 (multiplicity 1)
H 0.0758 0.1500 0.5640 (multiplicity 1)
H 0.1476 0.3119 0.4836 (multiplicity 1)
H 0.2076 0.4423 0.7429 (multiplicity 1)
H 0.2679 0.5733 0.0028 (multiplicity 1)
H 0.3409 0.7352 0.9223 (multiplicity 1)
H 0.6337 0.3159 0.9752 (multiplicity 1)
H 0.6901 0.3056 0.3749 (multiplicity 1)
H 0.7082 0.4407 0.2339 (multiplicity 1)
H 0.7309 0.5797 0.1010 (multiplicity 1)
H 0.7804 0.5669 0.4969 (multiplicity 1)
O 0.0919 0.2929 0.5853 (multiplicity 1)
O 0.3239 0.5922 0.9011 (multiplicity 1)
O 0.6418 0.4387 0.0955 (multiplicity 1)
O 0.7763 0.4453 0.3783 (multiplicity 1)
F 0.0769 0.1972 0.9062 (multiplicity 1)
F 0.1568 0.9283 0.5286 (multiplicity 1)
F 0.1761 0.2394 0.2533 (multiplicity 1)
F 0.2385 0.6448 0.2329 (multiplicity 1)
F 0.2589 0.9571 0.9588 (multiplicity 1)
F 0.3392 0.6887 0.5807 (multiplicity 1)
F 0.4912 0.0864 0.3927 (multiplicity 1)
F 0.5897 0.1343 0.7357 (multiplicity 1)
F 0.6705 0.8429 0.4373 (multiplicity 1)
F 0.7447 0.0420 0.0489 (multiplicity 1)
F 0.8266 0.7505 0.7507 (multiplicity 1)
F 0.9241 0.7995 0.0947 (multiplicity 1)

Principal peaks in the range 10 to 90 degrees two-theta, by angle:
| 2θ/deg | I/Imax |
| --- | --- |
| 14.66 | 100 |
| 16.44 | 59 |
| 17.52 | 53 |
| 21.63 | 35 |
| 21.86 | 43 |
| 21.98 | 36 |
| 22.31 | 33 |
| 23.82 | 31 |
| 25.22 | 39 |
| 26.38 | 47 |